For CePr5Sn6, a cell relaxed with PBE gives the simulated PXRD pattern in this record (CuKα).

Atomic structure:
Unit cell a=5.035 b=9.133 c=15.146 alpha=90.00 beta=90.00 gamma=90.00
Space group Immm (No. 71)
Asymmetric unit:
Ce (0.000, 0.000, 0.000) (multiplicity 2)
Pr (0.000, 0.000, 0.334) (multiplicity 4)
Pr (0.000, 0.500, 0.000) (multiplicity 2)
Pr (0.000, 0.500, 0.333) (multiplicity 4)
Sn (0.000, 0.249, 0.166) (multiplicity 8)
Sn (0.000, 0.252, 0.500) (multiplicity 4)

The 8 most intense peaks (2θ from 10° to 90°), in order of falling intensity:
2θ (°)  I/Imax  (hkl)
31.85  100  1 2 3
54.20  23  2 4 0
35.56  19  0 0 6
35.66  19  2 0 0
61.55  15  1 2 9
61.68  15  3 2 3
39.47  14  0 4 0
51.25  13  2 0 6